Diffraction record for CsMn5Se8. The powder XRD pattern is calculated, not measured: it uses a GGA-PBE-relaxed structure and Cu Kα X-rays.

Atomic structure:
```
CsMn5Se8
1.0
9.5415 -1.8659 0.0000
9.5415 1.8659 0.0000
-2.4742 0.0000 8.9570
Cs Mn Se
1 5 8
Cartesian
0.0000 0.0000 0.0000 Cs
1.8446 0.0000 4.4205 Mn
1.8403 0.0000 7.5063 Mn
8.3043 0.0000 4.4785 Mn
14.7683 0.0000 1.4507 Mn
14.7641 0.0000 4.5366 Mn
-0.2530 0.0000 5.9155 Se
4.0958 0.0000 3.0606 Se
6.3009 0.0000 0.1111 Se
6.2322 0.0000 5.8930 Se
10.3765 0.0000 3.0640 Se
10.3078 0.0000 8.8459 Se
12.5128 0.0000 5.8965 Se
16.8617 0.0000 3.0416 Se
```

Peak list (6 most intense, 2θ = 10–90°, most intense first)
31.05 deg, I 100
32.13 deg, I 70
49.47 deg, I 56
30.64 deg, I 46
38.35 deg, I 33
44.35 deg, I 33

---

Diffraction record for NdSm6Er. The powder XRD pattern is calculated, not measured: it uses a GGA-PBE-relaxed structure and Cu Kα X-rays.

Atomic structure:
```
NdSm6Er
1.0
5.1173 0.0000 0.0000
0.0000 5.1173 0.0000
0.0000 0.0000 10.2265
Nd Sm Er
1 6 1
Cartesian
0.0000 0.0000 0.0000 Nd
0.0000 2.5587 2.5850 Sm
0.0000 2.5587 7.6415 Sm
2.5587 0.0000 2.5850 Sm
2.5587 0.0000 7.6415 Sm
2.5587 2.5587 0.0000 Sm
2.5587 2.5587 5.1132 Sm
0.0000 0.0000 5.1132 Er
```

Peak list (6 most intense, 2θ = 10–90°, most intense first)
30.26 deg, I 100
35.08 deg, I 51
59.97 deg, I 43
50.45 deg, I 36
82.12 deg, I 18
84.74 deg, I 16